This entry pairs a crystal structure of Ho2HgC4 with its simulated PXRD pattern. Radiation: a wavelength of 1.5418 Å. Structure: the PBE geometry in OQMD.
Neutral-atom scattering factors, no anomalous dispersion.

Top 6 peaks for 10° ≤ 2θ ≤ 90°, by angle:
d_spacing, I_rel
3.407, 100.0
3.280, 99.7
3.147, 50.5
2.748, 92.3
2.415, 98.2
1.686, 53.8

Atomic structure:
```
Ho2HgC4
1.0
-4.267 5.330 2.591
4.267 -5.330 2.591
4.267 5.330 -2.591
Ho Hg C
4 2 8
direct
0.133 0.155 0.288
0.367 0.655 0.022
0.633 0.345 0.978
0.867 0.845 0.712
0.250 0.750 0.500
0.750 0.250 0.500
0.088 0.854 0.942
0.210 0.862 0.072
0.290 0.362 0.652
0.412 0.354 0.766
0.588 0.646 0.234
0.710 0.638 0.348
0.790 0.138 0.928
0.912 0.146 0.058
```